# 1
Diffraction record for Sm4Y2Cd. The X-ray diffraction stick pattern is theoretical, not measured: it uses a crystal structure in Alexandria, relaxed with PBE and Cu Kα X-rays.
Intensities are scaled so that the largest is 100.

Cell and atoms:
```
data_Sm4Y2Cd
_cell_length_a 16.7438
_cell_length_b 3.5359
_cell_length_c 8.6303
_cell_angle_alpha 90.00
_cell_angle_beta 117.60
_cell_angle_gamma 90.00
_symmetry_space_group_name_H-M 'C 1 2/m 1'
_symmetry_Int_Tables_number 12
_symmetry_space_group_name_Hall '-C 2y'
loop_
_atom_site_label
_atom_site_fract_x
_atom_site_fract_y
_atom_site_fract_z
Sm1 0.0822 0.0000 0.2028
Sm2 0.1303 0.5000 0.8919
Y1 0.2165 0.0000 0.6401
Cd1 0.0000 0.0000 0.5000
```

Principal peaks in the range 15 to 90 degrees two-theta, in order of rising 2θ:
- (1 1 1), 2θ = 29.60°, d = 3.018 Å, rel. 22
- (3 1 -1), 2θ = 30.10°, d = 2.969 Å, rel. 67
- (4 0 1), 2θ = 31.34°, d = 2.854 Å, rel. 100
- (6 0 -2), 2θ = 32.77°, d = 2.733 Å, rel. 45
- (3 1 -2), 2θ = 33.56°, d = 2.670 Å, rel. 18
- (3 1 1), 2θ = 36.21°, d = 2.481 Å, rel. 14
- (1 1 2), 2θ = 36.99°, d = 2.430 Å, rel. 39
- (7 1 -1), 2θ = 46.53°, d = 1.952 Å, rel. 14
- (7 1 0), 2θ = 50.18°, d = 1.818 Å, rel. 13
- (0 2 0), 2θ = 51.70°, d = 1.768 Å, rel. 14
- (4 2 1), 2θ = 61.72°, d = 1.503 Å, rel. 28
- (6 2 -2), 2θ = 62.58°, d = 1.484 Å, rel. 14



# 2
Diffraction record for Sm2YCd2. The X-ray diffraction stick pattern is theoretical, not measured: it uses a crystal structure in Alexandria, relaxed with PBE and Cu Kα X-rays.
Intensities are scaled so that the largest is 100.

Cell and atoms:
```
data_Sm2YCd2
_cell_length_a 3.7632
_cell_length_b 5.3859
_cell_length_c 14.1596
_cell_angle_alpha 90.00
_cell_angle_beta 97.64
_cell_angle_gamma 90.00
_symmetry_space_group_name_H-M 'P 1 21/m 1'
_symmetry_Int_Tables_number 11
_symmetry_space_group_name_Hall '-P 2yb'
loop_
_atom_site_label
_atom_site_fract_x
_atom_site_fract_y
_atom_site_fract_z
Sm1 0.0447 0.2500 0.0885
Sm2 0.2341 0.2500 0.4698
Y1 0.1491 0.7500 0.2975
Cd1 0.3609 0.7500 0.7213
Cd2 0.4449 0.2500 0.8902
```

Principal peaks in the range 15 to 90 degrees two-theta, in order of rising 2θ:
- (0 0 5), 2θ = 31.88°, d = 2.807 Å, rel. 21
- (1 1 -3), 2θ = 33.14°, d = 2.703 Å, rel. 100
- (0 2 0), 2θ = 33.27°, d = 2.693 Å, rel. 27
- (0 1 5), 2θ = 36.09°, d = 2.489 Å, rel. 8
- (0 2 5), 2θ = 46.75°, d = 1.943 Å, rel. 14
- (2 0 -1), 2θ = 48.38°, d = 1.882 Å, rel. 10
- (1 1 -8), 2θ = 57.62°, d = 1.600 Å, rel. 9
- (2 0 -6), 2θ = 59.11°, d = 1.563 Å, rel. 7
- (1 3 -3), 2θ = 59.37°, d = 1.557 Å, rel. 18
- (2 2 -1), 2θ = 59.98°, d = 1.542 Å, rel. 10
- (2 2 -6), 2θ = 69.54°, d = 1.352 Å, rel. 9
- (3 1 -4), 2θ = 80.45°, d = 1.194 Å, rel. 7



# 3
Diffraction record for Sm5Y2Cd. The X-ray diffraction stick pattern is theoretical, not measured: it uses a crystal structure in Alexandria, relaxed with PBE and Cu Kα X-rays.
Intensities are scaled so that the largest is 100.

Cell and atoms:
```
data_Sm5Y2Cd
_cell_length_a 7.1142
_cell_length_b 7.1142
_cell_length_c 9.9528
_cell_angle_alpha 90.00
_cell_angle_beta 90.00
_cell_angle_gamma 90.00
_symmetry_space_group_name_H-M 'I 4/m m m'
_symmetry_Int_Tables_number 139
_symmetry_space_group_name_Hall '-I 4 2'
loop_
_atom_site_label
_atom_site_fract_x
_atom_site_fract_y
_atom_site_fract_z
Sm1 0.0000 0.0000 0.0000
Sm2 0.2500 0.2500 0.2500
Y1 0.0000 0.5000 0.0000
Cd1 0.0000 0.0000 0.5000
```

Principal peaks in the range 15 to 90 degrees two-theta, in order of rising 2θ:
- (2 0 2), 2θ = 30.90°, d = 2.894 Å, rel. 100
- (2 2 0), 2θ = 35.70°, d = 2.515 Å, rel. 34
- (0 0 4), 2θ = 36.10°, d = 2.488 Å, rel. 16
- (4 0 0), 2θ = 51.37°, d = 1.779 Å, rel. 12
- (2 2 4), 2θ = 51.67°, d = 1.769 Å, rel. 23
- (4 2 2), 2θ = 61.16°, d = 1.515 Å, rel. 28
- (2 0 6), 2θ = 61.70°, d = 1.503 Å, rel. 14
- (4 0 4), 2θ = 64.39°, d = 1.447 Å, rel. 12
- (6 0 2), 2θ = 83.88°, d = 1.153 Å, rel. 6
- (4 2 6), 2θ = 84.36°, d = 1.148 Å, rel. 11
- (6 2 0), 2θ = 86.53°, d = 1.125 Å, rel. 5
- (4 4 4), 2θ = 86.76°, d = 1.122 Å, rel. 5



# 4
Diffraction record for SmYCd17. The X-ray diffraction stick pattern is theoretical, not measured: it uses a crystal structure in Alexandria, relaxed with PBE and Cu Kα X-rays.
Intensities are scaled so that the largest is 100.

Cell and atoms:
```
data_SmYCd17
_cell_length_a 10.0619
_cell_length_b 10.0619
_cell_length_c 14.9917
_cell_angle_alpha 90.00
_cell_angle_beta 90.00
_cell_angle_gamma 120.00
_symmetry_space_group_name_H-M 'R 3 m'
_symmetry_Int_Tables_number 160
_symmetry_space_group_name_Hall 'R 3 -2"'
loop_
_atom_site_label
_atom_site_fract_x
_atom_site_fract_y
_atom_site_fract_z
Sm1 0.0000 0.0000 0.0000
Y1 0.0000 0.0000 0.3438
Cd1 0.0000 0.0000 0.5657
Cd2 0.0000 0.0000 0.7612
Cd3 0.0306 0.3618 0.3358
Cd4 0.1767 0.3535 0.1474
Cd5 0.1824 0.3648 0.5086
Cd6 0.1952 0.3904 0.8501
```

Principal peaks in the range 15 to 90 degrees two-theta, in order of rising 2θ:
- (3 0 0), 2θ = 30.78°, d = 2.905 Å, rel. 25
- (0 2 4), 2θ = 31.49°, d = 2.841 Å, rel. 15
- (0 3 3), 2θ = 35.74°, d = 2.512 Å, rel. 100
- (0 0 6), 2θ = 35.94°, d = 2.499 Å, rel. 20
- (2 0 5), 2θ = 36.36°, d = 2.471 Å, rel. 23
- (2 2 3), 2θ = 40.13°, d = 2.247 Å, rel. 32
- (1 1 6), 2θ = 40.30°, d = 2.238 Å, rel. 10
- (3 3 0), 2θ = 54.74°, d = 1.677 Å, rel. 7
- (6 0 0), 2θ = 64.12°, d = 1.452 Å, rel. 9
- (0 3 9), 2θ = 64.51°, d = 1.445 Å, rel. 21
- (5 2 3), 2θ = 70.01°, d = 1.344 Å, rel. 7
- (2 5 6), 2θ = 78.52°, d = 1.218 Å, rel. 6



# 5
Diffraction record for SmZn6Cd6. The X-ray diffraction stick pattern is theoretical, not measured: it uses a crystal structure in Alexandria, relaxed with PBE and Cu Kα X-rays.
Intensities are scaled so that the largest is 100.

Cell and atoms:
```
data_SmZn6Cd6
_cell_length_a 5.5948
_cell_length_b 9.3546
_cell_length_c 9.5139
_cell_angle_alpha 90.00
_cell_angle_beta 90.00
_cell_angle_gamma 90.00
_symmetry_space_group_name_H-M 'I m m m'
_symmetry_Int_Tables_number 71
_symmetry_space_group_name_Hall '-I 2 2'
loop_
_atom_site_label
_atom_site_fract_x
_atom_site_fract_y
_atom_site_fract_z
Sm1 0.0000 0.0000 0.0000
Zn1 0.0000 0.5000 0.2741
Zn2 0.2500 0.2500 0.2500
Cd1 0.0000 0.0000 0.3456
Cd2 0.0000 0.3011 0.5000
Cd3 0.0000 0.3467 0.0000
```

Principal peaks in the range 15 to 90 degrees two-theta, in order of rising 2θ:
- (2 0 0), 2θ = 31.99°, d = 2.797 Å, rel. 41
- (1 0 3), 2θ = 32.45°, d = 2.759 Å, rel. 31
- (1 3 0), 2θ = 32.88°, d = 2.724 Å, rel. 66
- (2 0 2), 2θ = 37.29°, d = 2.411 Å, rel. 51
- (2 2 0), 2θ = 37.46°, d = 2.401 Å, rel. 33
- (0 0 4), 2θ = 37.85°, d = 2.377 Å, rel. 100
- (1 3 2), 2θ = 38.07°, d = 2.364 Å, rel. 79
- (0 4 0), 2θ = 38.49°, d = 2.339 Å, rel. 25
- (2 2 2), 2θ = 42.16°, d = 2.143 Å, rel. 60
- (3 3 2), 2θ = 61.09°, d = 1.517 Å, rel. 19
- (1 3 6), 2θ = 68.47°, d = 1.370 Å, rel. 26
- (2 6 0), 2θ = 68.95°, d = 1.362 Å, rel. 20



# 6
Diffraction record for Sm2Zn5Cd. The X-ray diffraction stick pattern is theoretical, not measured: it uses a crystal structure in Alexandria, relaxed with PBE and Cu Kα X-rays.
Intensities are scaled so that the largest is 100.

Cell and atoms:
```
data_Sm2Zn5Cd
_cell_length_a 4.4010
_cell_length_b 16.5221
_cell_length_c 9.0794
_cell_angle_alpha 90.00
_cell_angle_beta 90.00
_cell_angle_gamma 90.00
_symmetry_space_group_name_H-M 'C m c m'
_symmetry_Int_Tables_number 63
_symmetry_space_group_name_Hall '-C 2c 2'
loop_
_atom_site_label
_atom_site_fract_x
_atom_site_fract_y
_atom_site_fract_z
Sm1 0.0000 0.0000 0.0000
Sm2 0.0000 0.2050 0.2500
Zn1 0.0000 0.1845 0.6086
Zn2 0.0000 0.3452 0.5189
Zn3 0.0000 0.3950 0.2500
Cd1 0.0000 0.4456 0.7500
```

Principal peaks in the range 15 to 90 degrees two-theta, in order of rising 2θ:
- (1 1 2), 2θ = 28.77°, d = 3.104 Å, rel. 37
- (1 3 2), 2θ = 32.67°, d = 2.741 Å, rel. 100
- (1 5 0), 2θ = 33.94°, d = 2.641 Å, rel. 83
- (1 1 3), 2θ = 36.44°, d = 2.466 Å, rel. 44
- (0 6 2), 2θ = 38.23°, d = 2.354 Å, rel. 29
- (0 0 4), 2θ = 39.70°, d = 2.270 Å, rel. 31
- (2 0 0), 2θ = 41.02°, d = 2.200 Å, rel. 49
- (0 6 3), 2θ = 44.48°, d = 2.037 Å, rel. 21
- (2 6 0), 2θ = 53.24°, d = 1.721 Å, rel. 17
- (2 6 2), 2θ = 57.32°, d = 1.607 Å, rel. 21
- (1 3 6), 2θ = 67.64°, d = 1.385 Å, rel. 17
- (1 9 4), 2θ = 69.20°, d = 1.358 Å, rel. 16